Calculated PXRD pattern
Compound: LiMnP4O12
Radiation: CuKα
Structure: a GGA+U-relaxed structure
Lines closer than 0.1° are merged.

Atomic structure:
```
data_LiMnP4O12
_cell_length_a 4.940
_cell_length_b 7.109
_cell_length_c 7.531
_cell_angle_alpha 66.46
_cell_angle_beta 83.00
_cell_angle_gamma 69.90
_space_group_name_H-M_alt 'P 1'
_space_group_IT_number 1
loop_
_space_group_symop_operation_xyz
'x,y,z'
loop_
_atom_site_label
_atom_site_type_symbol
_atom_site_fract_x
_atom_site_fract_y
_atom_site_fract_z
Li1 Li 0.000 0.000 0.000
Mn1 Mn 0.042 0.280 0.544
P1 P 0.476 0.674 0.334
P2 P 0.478 0.474 0.756
P3 P 0.601 0.076 0.342
P4 P 0.606 0.878 0.763
O1 O 0.273 0.402 0.904
O2 O 0.282 0.732 0.173
O3 O 0.296 0.040 0.747
O4 O 0.323 0.581 0.542
O5 O 0.324 0.254 0.352
O6 O 0.504 0.886 0.342
O7 O 0.578 0.664 0.761
O8 O 0.759 0.971 0.555
O9 O 0.766 0.300 0.743
O10 O 0.777 0.509 0.349
O11 O 0.794 0.839 0.920
O12 O 0.812 0.134 0.192
```

Top 8 peaks for 15° ≤ 2θ ≤ 90°, in order of rising 2θ:
- 19.13 deg, rel. 36, (1 0 0)
- 25.81 deg, rel. 20, (0 0 2)
- 26.77 deg, rel. 14, (0 2 1)
- 27.11 deg, rel. 100, (1 2 1)
- 27.56 deg, rel. 39, (1 -1 0)
- 27.83 deg, rel. 31, (-1 1 1)
- 32.04 deg, rel. 30, (1 0 -2)
- 32.61 deg, rel. 31, (1 0 2)

***

Calculated PXRD pattern
Compound: FeOF
Radiation: CuKα
Structure: a GGA+U-relaxed structure
Lines closer than 0.1° are merged.

Atomic structure:
```
data_FeOF
_cell_length_a 14.343
_cell_length_b 3.115
_cell_length_c 14.389
_cell_angle_alpha 90.00
_cell_angle_beta 90.10
_cell_angle_gamma 90.00
_space_group_name_H-M_alt 'P 1'
_space_group_IT_number 1
loop_
_space_group_symop_operation_xyz
'x,y,z'
loop_
_atom_site_label
_atom_site_type_symbol
_atom_site_fract_x
_atom_site_fract_y
_atom_site_fract_z
Fe1 Fe 0.000 0.000 0.000
Fe2 Fe 0.001 0.000 0.336
Fe3 Fe 0.140 0.500 0.168
Fe4 Fe 0.149 0.500 0.496
Fe5 Fe 0.150 0.500 0.844
Fe6 Fe 0.318 0.000 0.984
Fe7 Fe 0.334 0.000 0.668
Fe8 Fe 0.337 0.000 0.332
Fe9 Fe 0.474 0.500 0.502
Fe10 Fe 0.474 0.500 0.835
Fe11 Fe 0.486 0.500 0.175
Fe12 Fe 0.652 0.000 0.319
Fe13 Fe 0.668 0.000 0.668
Fe14 Fe 0.670 0.000 0.997
Fe15 Fe 0.808 0.500 0.168
Fe16 Fe 0.815 0.500 0.828
Fe17 Fe 0.817 0.500 0.512
Fe18 Fe 0.969 0.000 0.668
O1 O 0.050 0.500 0.399
O2 O 0.053 0.500 0.062
O3 O 0.085 0.000 0.893
O4 O 0.089 0.000 0.231
O5 O 0.255 0.500 0.933
O6 O 0.384 0.500 0.731
O7 O 0.387 0.500 0.395
O8 O 0.421 0.000 0.563
O9 O 0.422 0.000 0.224
O10 O 0.425 0.000 0.899
O11 O 0.589 0.500 0.266
O12 O 0.716 0.500 0.730
O13 O 0.720 0.500 0.060
O14 O 0.754 0.000 0.561
O15 O 0.758 0.000 0.231
O16 O 0.759 0.000 0.895
O17 O 0.881 0.000 0.772
O18 O 0.923 0.500 0.601
F1 F 0.052 0.500 0.729
F2 F 0.090 0.000 0.571
F3 F 0.216 0.000 0.762
F4 F 0.221 0.000 0.433
F5 F 0.222 0.000 0.103
F6 F 0.253 0.500 0.599
F7 F 0.255 0.500 0.268
F8 F 0.385 0.500 0.062
F9 F 0.551 0.000 0.095
F10 F 0.551 0.000 0.767
F11 F 0.555 0.000 0.437
F12 F 0.587 0.500 0.601
F13 F 0.591 0.500 0.930
F14 F 0.718 0.500 0.396
F15 F 0.882 0.000 0.430
F16 F 0.886 0.000 0.101
F17 F 0.922 0.500 0.938
F18 F 0.923 0.500 0.266
```

Top 8 peaks for 15° ≤ 2θ ≤ 90°, in order of rising 2θ:
- 26.32 deg, rel. 100, (3 0 3)
- 34.34 deg, rel. 54, (0 1 3)
- 39.30 deg, rel. 18, (3 1 -3)
- 51.78 deg, rel. 44, (3 1 6)
- 51.87 deg, rel. 14, (6 1 3)
- 59.34 deg, rel. 10, (0 2 0)
- 65.64 deg, rel. 11, (0 1 9)
- 66.03 deg, rel. 12, (3 2 3)

***

Calculated PXRD pattern
Compound: Li9Mn7O16
Radiation: CuKα
Structure: a GGA+U-relaxed structure
Lines closer than 0.1° are merged.

Atomic structure:
```
data_Li9Mn7O16
_cell_length_a 5.351
_cell_length_b 6.521
_cell_length_c 8.689
_cell_angle_alpha 97.33
_cell_angle_beta 93.73
_cell_angle_gamma 95.02
_space_group_name_H-M_alt 'P 1'
_space_group_IT_number 1
loop_
_space_group_symop_operation_xyz
'x,y,z'
loop_
_atom_site_label
_atom_site_type_symbol
_atom_site_fract_x
_atom_site_fract_y
_atom_site_fract_z
Li1 Li 0.000 0.000 0.000
Li2 Li 0.245 0.700 0.819
Li3 Li 0.250 0.940 0.565
Li4 Li 0.253 0.191 0.312
Li5 Li 0.257 0.440 0.066
Li6 Li 0.743 0.560 0.934
Li7 Li 0.747 0.809 0.688
Li8 Li 0.750 0.060 0.435
Li9 Li 0.755 0.300 0.181
Mn1 Mn 0.000 0.248 0.754
Mn2 Mn 0.000 0.500 0.500
Mn3 Mn 0.000 0.752 0.246
Mn4 Mn 0.499 0.374 0.625
Mn5 Mn 0.500 0.124 0.876
Mn6 Mn 0.500 0.876 0.124
Mn7 Mn 0.501 0.626 0.375
O1 O 0.104 0.475 0.285
O2 O 0.105 0.229 0.536
O3 O 0.159 0.737 0.051
O4 O 0.160 0.999 0.791
O5 O 0.391 0.898 0.336
O6 O 0.392 0.393 0.839
O7 O 0.396 0.646 0.588
O8 O 0.397 0.145 0.087
O9 O 0.603 0.855 0.913
O10 O 0.604 0.354 0.412
O11 O 0.608 0.607 0.161
O12 O 0.609 0.102 0.664
O13 O 0.840 0.001 0.209
O14 O 0.841 0.263 0.949
O15 O 0.895 0.771 0.464
O16 O 0.896 0.525 0.715
```

Top 8 peaks for 15° ≤ 2θ ≤ 90°, in order of rising 2θ:
- 18.29 deg, rel. 100, (0 1 1)
- 33.73 deg, rel. 19, (2 0 0)
- 36.19 deg, rel. 24, (1 1 -3)
- 40.57 deg, rel. 36, (2 1 1)
- 44.21 deg, rel. 55, (1 0 -4)
- 46.80 deg, rel. 10, (1 0 4)
- 58.31 deg, rel. 9, (1 -4 0)
- 61.24 deg, rel. 17, (3 1 -3)

***

Calculated PXRD pattern
Compound: V3OF11
Radiation: CuKα
Structure: a GGA+U-relaxed structure
Lines closer than 0.1° are merged.

Atomic structure:
```
data_V3OF11
_cell_length_a 5.199
_cell_length_b 5.351
_cell_length_c 15.029
_cell_angle_alpha 79.75
_cell_angle_beta 89.73
_cell_angle_gamma 88.37
_space_group_name_H-M_alt 'P 1'
_space_group_IT_number 1
loop_
_space_group_symop_operation_xyz
'x,y,z'
loop_
_atom_site_label
_atom_site_type_symbol
_atom_site_fract_x
_atom_site_fract_y
_atom_site_fract_z
V1 V 0.000 0.000 0.000
V2 V 0.000 0.333 0.333
V3 V 0.000 0.667 0.667
V4 V 0.500 0.167 0.667
V5 V 0.500 0.500 0.000
V6 V 0.500 0.833 0.333
O1 O 0.232 0.739 0.987
O2 O 0.768 0.261 0.013
F1 F 0.075 0.954 0.118
F2 F 0.092 0.247 0.448
F3 F 0.092 0.581 0.781
F4 F 0.187 0.038 0.305
F5 F 0.187 0.372 0.638
F6 F 0.273 0.242 0.973
F7 F 0.310 0.538 0.310
F8 F 0.310 0.872 0.643
F9 F 0.407 0.763 0.448
F10 F 0.409 0.100 0.781
F11 F 0.426 0.415 0.117
F12 F 0.574 0.585 0.883
F13 F 0.591 0.900 0.219
F14 F 0.593 0.237 0.552
F15 F 0.690 0.128 0.357
F16 F 0.690 0.462 0.690
F17 F 0.727 0.758 0.027
F18 F 0.813 0.628 0.362
F19 F 0.813 0.962 0.695
F20 F 0.908 0.419 0.219
F21 F 0.908 0.753 0.552
F22 F 0.925 0.046 0.882
```

Top 8 peaks for 15° ≤ 2θ ≤ 90°, in order of rising 2θ:
- 17.99 deg, rel. 100, (0 0 3)
- 25.22 deg, rel. 83, (1 1 2)
- 25.87 deg, rel. 82, (-1 1 2)
- 33.51 deg, rel. 16, (0 2 1)
- 36.45 deg, rel. 14, (0 0 6)
- 48.12 deg, rel. 14, (2 2 1)
- 49.61 deg, rel. 13, (-2 2 1)
- 52.32 deg, rel. 13, (1 1 -7)

***

Calculated PXRD pattern
Compound: Li2VC2O6
Radiation: CuKα
Structure: a GGA+U-relaxed structure
Lines closer than 0.1° are merged.

Atomic structure:
```
data_Li2VC2O6
_cell_length_a 4.897
_cell_length_b 6.417
_cell_length_c 9.484
_cell_angle_alpha 90.00
_cell_angle_beta 118.58
_cell_angle_gamma 90.00
_space_group_name_H-M_alt 'P 1'
_space_group_IT_number 1
loop_
_space_group_symop_operation_xyz
'x,y,z'
loop_
_atom_site_label
_atom_site_type_symbol
_atom_site_fract_x
_atom_site_fract_y
_atom_site_fract_z
Li1 Li 0.185 0.225 0.167
Li2 Li 0.185 0.275 0.667
Li3 Li 0.815 0.725 0.333
Li4 Li 0.815 0.775 0.833
V1 V 0.500 0.000 0.000
V2 V 0.500 0.500 0.500
C1 C 0.163 0.725 0.677
C2 C 0.163 0.775 0.177
C3 C 0.837 0.225 0.823
C4 C 0.837 0.275 0.323
O1 O 0.104 0.197 0.950
O2 O 0.104 0.303 0.450
O3 O 0.172 0.690 0.303
O4 O 0.172 0.810 0.803
O5 O 0.418 0.667 0.677
O6 O 0.418 0.833 0.177
O7 O 0.582 0.167 0.823
O8 O 0.582 0.333 0.323
O9 O 0.828 0.190 0.197
O10 O 0.828 0.310 0.697
O11 O 0.896 0.697 0.550
O12 O 0.896 0.803 0.050
```

Top 8 peaks for 15° ≤ 2θ ≤ 90°, in order of rising 2θ:
- 17.45 deg, rel. 100, (0 1 1)
- 22.86 deg, rel. 19, (1 1 -1)
- 25.60 deg, rel. 14, (1 1 -2)
- 34.89 deg, rel. 19, (1 2 0)
- 35.30 deg, rel. 17, (0 2 2)
- 35.39 deg, rel. 11, (1 2 -2)
- 39.43 deg, rel. 8, (2 1 -2)
- 40.44 deg, rel. 9, (1 2 -3)

***

Calculated PXRD pattern
Compound: LiFeH12S2O14
Radiation: CuKα
Structure: a GGA+U-relaxed structure
Lines closer than 0.1° are merged.

Atomic structure:
```
data_LiFeH12S2O14
_cell_length_a 6.025
_cell_length_b 11.895
_cell_length_c 8.990
_cell_angle_alpha 90.00
_cell_angle_beta 105.68
_cell_angle_gamma 90.00
_space_group_name_H-M_alt 'P 1'
_space_group_IT_number 1
loop_
_space_group_symop_operation_xyz
'x,y,z'
loop_
_atom_site_label
_atom_site_type_symbol
_atom_site_fract_x
_atom_site_fract_y
_atom_site_fract_z
Li1 Li 0.148 0.000 0.148
Li2 Li 0.852 0.500 0.852
Fe1 Fe 0.497 0.895 0.747
Fe2 Fe 0.503 0.395 0.253
H1 H 0.152 0.751 0.716
H2 H 0.158 0.542 0.213
H3 H 0.159 0.838 0.857
H4 H 0.163 0.997 0.536
H5 H 0.168 0.303 0.038
H6 H 0.168 0.461 0.362
H7 H 0.407 0.030 0.500
H8 H 0.410 0.263 0.007
H9 H 0.430 0.487 0.972
H10 H 0.437 0.796 0.467
H11 H 0.490 0.085 0.900
H12 H 0.495 0.204 0.395
H13 H 0.505 0.704 0.605
H14 H 0.510 0.585 0.100
H15 H 0.563 0.296 0.533
H16 H 0.570 0.987 0.028
H17 H 0.590 0.763 0.993
H18 H 0.593 0.530 0.500
H19 H 0.832 0.803 0.962
H20 H 0.832 0.961 0.638
H21 H 0.837 0.497 0.464
H22 H 0.841 0.338 0.143
H23 H 0.842 0.042 0.787
H24 H 0.848 0.251 0.284
S1 S 0.231 0.758 0.144
S2 S 0.237 0.530 0.669
S3 S 0.763 0.030 0.331
S4 S 0.769 0.258 0.856
O1 O 0.071 0.661 0.129
O2 O 0.085 0.625 0.690
O3 O 0.113 0.848 0.027
O4 O 0.115 0.470 0.525
O5 O 0.197 0.830 0.755
O6 O 0.205 0.466 0.258
O7 O 0.271 0.454 0.804
O8 O 0.281 0.815 0.295
O9 O 0.332 0.283 0.090
O10 O 0.334 0.008 0.583
O11 O 0.446 0.719 0.107
O12 O 0.468 0.004 0.920
O13 O 0.469 0.571 0.656
O14 O 0.478 0.285 0.420
O15 O 0.522 0.785 0.580
O16 O 0.531 0.071 0.344
O17 O 0.532 0.504 0.080
O18 O 0.554 0.219 0.893
O19 O 0.666 0.508 0.417
O20 O 0.668 0.783 0.910
O21 O 0.719 0.315 0.705
O22 O 0.729 0.954 0.196
O23 O 0.795 0.966 0.742
O24 O 0.803 0.330 0.245
O25 O 0.885 0.970 0.475
O26 O 0.887 0.348 0.973
O27 O 0.915 0.125 0.310
O28 O 0.929 0.161 0.871
```

Top 8 peaks for 15° ≤ 2θ ≤ 90°, in order of rising 2θ:
- 15.27 deg, rel. 24, (1 0 0)
- 17.01 deg, rel. 53, (1 1 0)
- 18.10 deg, rel. 34, (0 2 1)
- 20.52 deg, rel. 17, (0 0 2)
- 21.88 deg, rel. 100, (1 2 -1)
- 22.06 deg, rel. 27, (1 0 -2)
- 24.70 deg, rel. 38, (0 3 1)
- 30.68 deg, rel. 29, (2 1 -1)